This entry pairs a crystal structure of Sr2ZnIn6Pt with its theoretical powder diffractogram. Radiation: Cu Kα (λ = 1.5418 Å). Structure: a PBE-relaxed structure.
Intensities are scaled so that the largest is 100.

Principal peaks in the range 10 to 90 degrees two-theta, in order of rising 2θ:
hkl, 2theta, Rel. int.
0 1 0, 13.4, 36
1 0 1, 17.1, 39
1 0 -1, 26.7, 30
0 1 2, 32.2, 78
2 0 2, 34.6, 100
0 2 -2, 34.8, 42
1 1 -2, 36.4, 31
1 -2 1, 36.6, 76
1 3 0, 36.8, 29
2 -1 1, 40.4, 29

Structure:
```
data_Sr2ZnIn6Pt
_chemical_formula_sum 'Sr2 Zn1 In6 Pt1'
_symmetry_space_group_name_H-M 'P -1'
_symmetry_Int_Tables_number 2
_cell_length_a 6.007
_cell_length_b 7.328
_cell_length_c 7.368
_cell_angle_alpha 89.04
_cell_angle_beta 66.26
_cell_angle_gamma 66.29
loop_
_symmetry_equiv_pos_as_xyz
'x,y,z'
'-x,-y,-z'
loop_
_atom_site_label
_atom_site_type_symbol
_atom_site_fract_x
_atom_site_fract_y
_atom_site_fract_z
Sr1 Sr 0.249 0.240 0.258
Zn1 Zn 0.500 0.500 0.500
In1 In 0.188 0.300 0.820
In2 In 0.253 0.910 0.588
In3 In 0.305 0.705 0.178
Pt1 Pt 0.000 0.000 0.000
```